The following is a simulated powder X-ray diffraction pattern of TbAsO4. It was derived from a crystal structure in the Materials Project, relaxed with PBE, using λ = 1.5418 Å (Cu Kα).

Structural model:
Cell: 5.9984 5.9984 5.9984 Å, 106.43 106.43 115.74°
Sites, in units of the cell vectors:
Tb1 0.3750 0.6250 0.7500
Tb2 0.6250 0.3750 0.2500
As1 0.1250 0.8750 0.2500
As2 0.8750 0.1250 0.7500
O1 0.1296 0.6986 0.4310
O2 0.2325 0.3014 0.9310
O3 0.3014 0.2325 0.4310
O4 0.3014 0.8704 0.0690
O5 0.6986 0.1296 0.9310
O6 0.6986 0.7675 0.5690
O7 0.7675 0.6986 0.0690
O8 0.8704 0.3014 0.5690

The 12 most intense peaks (2θ = 10–80°), sorted by position:
Position (°2θ), I (rel.)
18.6, 17.8
24.8, 100.0
33.2, 73.0
35.3, 23.9
40.2, 8.4
49.2, 60.5
50.8, 15.4
57.4, 14.5
62.1, 17.7
63.9, 12.5
69.6, 10.6
73.5, 14.4

***

The following is a simulated powder X-ray diffraction pattern of SiO2. It was derived from a crystal structure in the Materials Project, relaxed with PBE, using λ = 1.5418 Å (Cu Kα).

Structural model:
Cell: 11.7412 11.7412 4.4471 Å, 90.00 90.00 120.00°
Sites, in units of the cell vectors:
Si1 0.1497 0.4612 0.2170
Si2 0.1497 0.6886 0.7830
Si3 0.3114 0.4612 0.7830
Si4 0.3114 0.8503 0.2170
Si5 0.4612 0.1497 0.2170
Si6 0.4612 0.3114 0.7830
Si7 0.5388 0.6886 0.2170
Si8 0.5388 0.8503 0.7830
Si9 0.6886 0.1497 0.7830
Si10 0.6886 0.5388 0.2170
Si11 0.8503 0.3114 0.2170
Si12 0.8503 0.5388 0.7830
O1 0.0000 0.3785 0.3456
O2 0.0000 0.6215 0.6544
O3 0.1630 0.5815 0.0000
O4 0.1851 0.3702 0.0000
O5 0.1851 0.8149 0.0000
O6 0.2527 0.5054 0.5000
O7 0.2527 0.7473 0.5000
O8 0.3702 0.1851 0.0000
O9 0.3785 0.0000 0.3456
O10 0.3785 0.3785 0.6544
O11 0.4185 0.5815 0.0000
O12 0.4185 0.8370 0.0000
O13 0.4946 0.7473 0.5000
O14 0.5054 0.2527 0.5000
O15 0.5815 0.1630 0.0000
O16 0.5815 0.4185 0.0000
O17 0.6215 0.0000 0.6544
O18 0.6215 0.6215 0.3456
O19 0.6298 0.8149 0.0000
O20 0.7473 0.2527 0.5000
O21 0.7473 0.4946 0.5000
O22 0.8149 0.1851 0.0000
O23 0.8149 0.6298 0.0000
O24 0.8370 0.4185 0.0000

The 12 most intense peaks (2θ = 10–80°), sorted by position:
Position (°2θ), I (rel.)
23.1, 85.0
25.1, 100.0
26.3, 14.2
30.5, 16.6
30.7, 48.7
36.7, 34.0
37.8, 30.7
40.9, 16.8
43.8, 12.4
51.6, 13.9
58.8, 18.2
59.0, 12.7

***

Repeat the second record exactly.
The following is a simulated powder X-ray diffraction pattern of SiO2. It was derived from a crystal structure in the Materials Project, relaxed with PBE, using λ = 1.5418 Å (Cu Kα).

Structural model:
Cell: 11.7412 11.7412 4.4471 Å, 90.00 90.00 120.00°
Sites, in units of the cell vectors:
Si1 0.1497 0.4612 0.2170
Si2 0.1497 0.6886 0.7830
Si3 0.3114 0.4612 0.7830
Si4 0.3114 0.8503 0.2170
Si5 0.4612 0.1497 0.2170
Si6 0.4612 0.3114 0.7830
Si7 0.5388 0.6886 0.2170
Si8 0.5388 0.8503 0.7830
Si9 0.6886 0.1497 0.7830
Si10 0.6886 0.5388 0.2170
Si11 0.8503 0.3114 0.2170
Si12 0.8503 0.5388 0.7830
O1 0.0000 0.3785 0.3456
O2 0.0000 0.6215 0.6544
O3 0.1630 0.5815 0.0000
O4 0.1851 0.3702 0.0000
O5 0.1851 0.8149 0.0000
O6 0.2527 0.5054 0.5000
O7 0.2527 0.7473 0.5000
O8 0.3702 0.1851 0.0000
O9 0.3785 0.0000 0.3456
O10 0.3785 0.3785 0.6544
O11 0.4185 0.5815 0.0000
O12 0.4185 0.8370 0.0000
O13 0.4946 0.7473 0.5000
O14 0.5054 0.2527 0.5000
O15 0.5815 0.1630 0.0000
O16 0.5815 0.4185 0.0000
O17 0.6215 0.0000 0.6544
O18 0.6215 0.6215 0.3456
O19 0.6298 0.8149 0.0000
O20 0.7473 0.2527 0.5000
O21 0.7473 0.4946 0.5000
O22 0.8149 0.1851 0.0000
O23 0.8149 0.6298 0.0000
O24 0.8370 0.4185 0.0000

The 12 most intense peaks (2θ = 10–80°), sorted by position:
Position (°2θ), I (rel.)
23.1, 85.0
25.1, 100.0
26.3, 14.2
30.5, 16.6
30.7, 48.7
36.7, 34.0
37.8, 30.7
40.9, 16.8
43.8, 12.4
51.6, 13.9
58.8, 18.2
59.0, 12.7